# 1
Starting from a DFT-relaxed cell (GGA-PBE, the Materials Project), the powder diffraction line list of NaSbBrOF3 was simulated for a wavelength of 1.5418 Å.
Intensities are scaled so that the largest is 100.

The 10 most intense peaks (2θ = 5–70°), sorted by position:
- 2θ = 11.36°, intensity 73.7
- 2θ = 13.54°, intensity 66.0
- 2θ = 19.61°, intensity 44.6
- 2θ = 21.31°, intensity 98.9
- 2θ = 24.98°, intensity 85.9
- 2θ = 27.32°, intensity 56.2
- 2θ = 30.26°, intensity 56.9
- 2θ = 31.89°, intensity 77.7
- 2θ = 32.54°, intensity 100.0
- 2θ = 43.38°, intensity 47.7

```
data_NaSbBrOF3
_cell_length_a 7.8296
_cell_length_b 12.0160
_cell_length_c 5.8252
_cell_angle_alpha 90.00
_cell_angle_beta 95.65
_cell_angle_gamma 90.00
_symmetry_space_group_name_H-M 'P 1'
_symmetry_Int_Tables_number 1
loop_
_symmetry_equiv_pos_as_xyz
'x,y,z'
loop_
_atom_site_label
_atom_site_type_symbol
_atom_site_fract_x
_atom_site_fract_y
_atom_site_fract_z
_atom_site_occupancy
Na1 Na 0.0025 0.1289 0.3042 1
Na2 Na 0.0025 0.3711 0.8042 1
Na3 Na 0.9975 0.6289 0.1958 1
Na4 Na 0.9975 0.8711 0.6958 1
Sb1 Sb 0.3182 0.5964 0.6854 1
Sb2 Sb 0.3182 0.9036 0.1854 1
Sb3 Sb 0.6818 0.0964 0.8146 1
Sb4 Sb 0.6818 0.4036 0.3146 1
Br1 Br 0.4784 0.1369 0.2463 1
Br2 Br 0.4784 0.3631 0.7463 1
Br3 Br 0.5216 0.6369 0.2537 1
Br4 Br 0.5216 0.8631 0.7537 1
O1 O 0.2249 0.2493 0.6799 1
O2 O 0.2249 0.2507 0.1799 1
O3 O 0.7751 0.7493 0.8201 1
O4 O 0.7751 0.7507 0.3201 1
F1 F 0.1459 0.5441 0.8930 1
F2 F 0.1459 0.9559 0.3930 1
F3 F 0.1528 0.7144 0.5590 1
F4 F 0.1528 0.7856 0.0590 1
F5 F 0.1905 0.5062 0.4458 1
F6 F 0.1905 0.9938 0.9458 1
F7 F 0.8095 0.0062 0.0542 1
F8 F 0.8095 0.4938 0.5542 1
F9 F 0.8472 0.2144 0.9410 1
F10 F 0.8472 0.2856 0.4410 1
F11 F 0.8541 0.0441 0.6070 1
F12 F 0.8541 0.4559 0.1070 1
```

=====

# 2
Starting from a DFT-relaxed cell (GGA-PBE, the Materials Project), the powder diffraction line list of Ba2TlCuHgO5 was simulated for a wavelength of 1.5418 Å.
Intensities are scaled so that the largest is 100.

The 10 most intense peaks (2θ = 5–70°), sorted by position:
- 2θ = 7.35°, intensity 12.3
- 2θ = 25.34°, intensity 22.2
- 2θ = 29.43°, intensity 100.0
- 2θ = 32.38°, intensity 52.8
- 2θ = 37.38°, intensity 13.3
- 2θ = 44.51°, intensity 10.7
- 2θ = 46.44°, intensity 22.5
- 2θ = 50.27°, intensity 18.4
- 2θ = 55.94°, intensity 34.1
- 2θ = 61.07°, intensity 12.2

```
data_Ba2TlCuHgO5
_cell_length_a 12.3412
_cell_length_b 12.3412
_cell_length_c 12.3412
_cell_angle_alpha 161.77
_cell_angle_beta 161.77
_cell_angle_gamma 25.90
_symmetry_space_group_name_H-M 'P 1'
_symmetry_Int_Tables_number 1
loop_
_symmetry_equiv_pos_as_xyz
'x,y,z'
loop_
_atom_site_label
_atom_site_type_symbol
_atom_site_fract_x
_atom_site_fract_y
_atom_site_fract_z
_atom_site_occupancy
Ba1 Ba 0.0000 0.0000 0.0000 1
Ba2 Ba 0.1659 0.1659 0.0000 1
Tl1 Tl 0.7817 0.7817 0.0000 1
Cu1 Cu 0.5869 0.5869 0.0000 1
Hg1 Hg 0.3764 0.3764 0.0000 1
O1 O 0.0793 0.5793 0.5000 1
O2 O 0.2915 0.2915 0.0000 1
O3 O 0.4599 0.4599 0.0000 1
O4 O 0.5793 0.0793 0.5000 1
O5 O 0.6896 0.6896 0.0000 1
```

=====

# 3
Starting from a DFT-relaxed cell (GGA-PBE, the Materials Project), the powder diffraction line list of Rb4Hf3S14 was simulated for a wavelength of 1.5418 Å.
Intensities are scaled so that the largest is 100.

The 10 most intense peaks (2θ = 5–70°), sorted by position:
- 2θ = 12.43°, intensity 100.0
- 2θ = 13.22°, intensity 46.8
- 2θ = 21.13°, intensity 32.6
- 2θ = 22.54°, intensity 50.7
- 2θ = 27.57°, intensity 18.5
- 2θ = 30.69°, intensity 20.7
- 2θ = 32.47°, intensity 20.0
- 2θ = 33.97°, intensity 17.3
- 2θ = 38.71°, intensity 19.9
- 2θ = 39.06°, intensity 25.8

```
data_Rb4Hf3S14
_cell_length_a 11.8106
_cell_length_b 11.8106
_cell_length_c 13.8420
_cell_angle_alpha 111.23
_cell_angle_beta 111.23
_cell_angle_gamma 41.72
_symmetry_space_group_name_H-M 'P 1'
_symmetry_Int_Tables_number 1
loop_
_symmetry_equiv_pos_as_xyz
'x,y,z'
loop_
_atom_site_label
_atom_site_type_symbol
_atom_site_fract_x
_atom_site_fract_y
_atom_site_fract_z
_atom_site_occupancy
Rb1 Rb 0.1163 0.4784 0.3899 1
Rb2 Rb 0.1724 0.6969 0.8561 1
Rb3 Rb 0.3031 0.8276 0.6439 1
Rb4 Rb 0.4784 0.1163 0.8899 1
Rb5 Rb 0.5216 0.8837 0.1101 1
Rb6 Rb 0.6969 0.1724 0.3561 1
Rb7 Rb 0.8276 0.3031 0.1439 1
Rb8 Rb 0.8837 0.5216 0.6101 1
Hf1 Hf 0.0844 0.5792 0.0881 1
Hf2 Hf 0.2657 0.7343 0.2500 1
Hf3 Hf 0.4208 0.9156 0.4119 1
Hf4 Hf 0.5792 0.0844 0.5881 1
Hf5 Hf 0.7343 0.2657 0.7500 1
Hf6 Hf 0.9156 0.4208 0.9119 1
S1 S 0.0165 0.8458 0.0851 1
S2 S 0.0683 0.4902 0.8986 1
S3 S 0.0689 0.7394 0.2933 1
S4 S 0.0953 0.1895 0.3904 1
S5 S 0.1542 0.9835 0.4149 1
S6 S 0.1895 0.0953 0.8904 1
S7 S 0.2606 0.9311 0.2067 1
S8 S 0.3049 0.6155 0.3943 1
S9 S 0.3098 0.3529 0.6682 1
S10 S 0.3529 0.3098 0.1682 1
S11 S 0.3845 0.6951 0.1057 1
S12 S 0.3997 0.4292 0.1320 1
S13 S 0.4292 0.3997 0.6320 1
S14 S 0.4902 0.0683 0.3986 1
S15 S 0.5098 0.9317 0.6014 1
S16 S 0.5708 0.6003 0.3680 1
S17 S 0.6003 0.5708 0.8680 1
S18 S 0.6155 0.3049 0.8943 1
S19 S 0.6471 0.6902 0.8318 1
S20 S 0.6902 0.6471 0.3318 1
S21 S 0.6951 0.3845 0.6057 1
S22 S 0.7394 0.0689 0.7933 1
S23 S 0.8105 0.9047 0.1096 1
S24 S 0.8458 0.0165 0.5851 1
S25 S 0.9047 0.8105 0.6096 1
S26 S 0.9311 0.2606 0.7067 1
S27 S 0.9317 0.5098 0.1014 1
S28 S 0.9835 0.1542 0.9149 1
```

=====

# 4
Starting from a DFT-relaxed cell (GGA-PBE, the Materials Project), the powder diffraction line list of SrZrN2 was simulated for a wavelength of 1.5418 Å.
Intensities are scaled so that the largest is 100.

The 10 most intense peaks (2θ = 5–70°), sorted by position:
- 2θ = 30.07°, intensity 33.5
- 2θ = 32.03°, intensity 80.6
- 2θ = 36.59°, intensity 100.0
- 2θ = 51.43°, intensity 33.8
- 2θ = 53.97°, intensity 31.1
- 2θ = 60.73°, intensity 15.1
- 2θ = 62.50°, intensity 5.7
- 2θ = 63.02°, intensity 25.2
- 2θ = 64.15°, intensity 11.5
- 2θ = 66.98°, intensity 15.4

```
data_SrZrN2
_cell_length_a 3.3979
_cell_length_b 3.3979
_cell_length_c 17.8318
_cell_angle_alpha 90.00
_cell_angle_beta 90.00
_cell_angle_gamma 120.00
_symmetry_space_group_name_H-M 'P 1'
_symmetry_Int_Tables_number 1
loop_
_symmetry_equiv_pos_as_xyz
'x,y,z'
loop_
_atom_site_label
_atom_site_type_symbol
_atom_site_fract_x
_atom_site_fract_y
_atom_site_fract_z
_atom_site_occupancy
Sr1 Sr 0.0000 0.0000 0.0000 1
Sr2 Sr 0.3333 0.6667 0.6667 1
Sr3 Sr 0.6667 0.3333 0.3333 1
Zr1 Zr 0.0000 0.0000 0.5000 1
Zr2 Zr 0.3333 0.6667 0.1667 1
Zr3 Zr 0.6667 0.3333 0.8333 1
N1 N 0.0000 0.0000 0.2339 1
N2 N 0.0000 0.0000 0.7661 1
N3 N 0.3333 0.6667 0.4328 1
N4 N 0.3333 0.6667 0.9006 1
N5 N 0.6667 0.3333 0.0994 1
N6 N 0.6667 0.3333 0.5672 1
```